Record 1
The following is a theoretical powder diffraction line list of Nb5Se2S2. It was derived from a cell relaxed with PBE, using Cu Kα X-rays.
Peak positions follow from Bragg's law for the DFT cell and can differ from measured ones.

Structure:
Cell lengths 13.799, 3.378, 9.728 Å; angles 90.00, 133.29, 90.00 degrees
Space group C2/m (No. 12)
One atom of each set of equivalent atoms:
Nb (0.000, 0.000, 0.000) [2 per cell]
Nb (0.128, 0.500, 0.926) [4 per cell]
Nb (0.199, 0.500, 0.321) [4 per cell]
Se (0.056, 0.000, 0.345) [4 per cell]
S (0.234, 0.500, 0.796) [4 per cell]

Top 10 peaks for 2θ = 15–90°, by intensity:
| 2theta | I/Imax |
| --- | --- |
| 38.5 | 100.0 |
| 37.8 | 99.8 |
| 33.4 | 96.8 |
| 41.7 | 55.8 |
| 40.0 | 51.7 |
| 46.2 | 40.4 |
| 54.3 | 38.3 |
| 38.1 | 35.6 |
| 42.3 | 29.2 |
| 18.2 | 28.7 |

---

Record 2
The following is a theoretical powder diffraction line list of Nb3SnS6. It was derived from a cell relaxed with PBE, using Cu Kα X-rays.
Peak positions follow from Bragg's law for the DFT cell and can differ from measured ones.

Structure:
Cell lengths 5.8505, 5.8505, 14.6104 Å; angles 90.00, 90.00, 120.00 degrees
Space group P6_322 (No. 182)
One atom of each set of equivalent atoms:
Nb (0.0000, 0.0000, 0.0000) [2 per cell]
Nb (0.3333, 0.6667, 0.0013) [4 per cell]
Sn (0.3333, 0.6667, 0.7500) [2 per cell]
S (0.0009, 0.3331, 0.8932) [12 per cell]

Top 10 peaks for 2θ = 15–90°, by intensity:
| 2theta | I/Imax |
| --- | --- |
| 39.5 | 100.0 |
| 30.6 | 38.8 |
| 18.5 | 29.6 |
| 54.3 | 28.0 |
| 69.2 | 18.4 |
| 76.9 | 15.4 |
| 25.4 | 15.3 |
| 59.7 | 14.9 |
| 31.2 | 14.6 |
| 33.0 | 13.7 |

---

Record 3
The following is a theoretical powder diffraction line list of Nb3SnS6. It was derived from a cell relaxed with PBE, using Cu Kα X-rays.
Peak positions follow from Bragg's law for the DFT cell and can differ from measured ones.

Structure:
Cell lengths 5.8461, 5.8461, 14.6226 Å; angles 90.00, 90.00, 120.00 degrees
Space group P6_3/mcm (No. 193)
One atom of each set of equivalent atoms:
Nb (0.0000, 0.0000, 0.2500) [2 per cell]
Nb (0.3333, 0.6667, 0.2500) [4 per cell]
Sn (0.0000, 0.0000, 0.0000) [2 per cell]
S (0.0000, 0.3349, 0.1431) [12 per cell]

Top 10 peaks for 2θ = 15–90°, by intensity:
| 2theta | I/Imax |
| --- | --- |
| 39.5 | 100.0 |
| 30.6 | 38.7 |
| 21.3 | 29.1 |
| 54.4 | 28.0 |
| 17.5 | 22.4 |
| 69.2 | 18.4 |
| 76.9 | 15.5 |
| 59.7 | 14.9 |
| 31.2 | 14.5 |
| 33.0 | 13.7 |